SbPt15: theoretical powder diffraction line list (Cu Kα), based on a cell relaxed with PBE.

Peak list (6 most intense, 2θ = 10–90°, low angle first)
| Position (°2θ) | I_rel | hkl |
| --- | --- | --- |
| 38.76 | 77 | 1 12 -1 |
| 39.85 | 100 | 2 0 0 |
| 45.34 | 50 | 1 12 1 |
| 46.41 | 33 | 2 0 -2 |
| 66.88 | 32 | 3 12 -1 |
| 78.63 | 19 | 2 24 0 |

Atomic structure:
Unit cell a=4.7987 b=34.6301 c=4.7983 alpha=90.00 beta=109.36 gamma=90.00
Space group P2/c (No. 13)
Unique sites:
Sb (0.0000, 0.1868, 0.2500) x2
Pt (0.0000, 0.2284, 0.7500) x2
Pt (0.0000, 0.2727, 0.2500) x2
Pt (0.0000, 0.3140, 0.7500) x2
Pt (0.0000, 0.3555, 0.2500) x2
Pt (0.0000, 0.3969, 0.7500) x2
Pt (0.0000, 0.4382, 0.2500) x2
Pt (0.0000, 0.4794, 0.7500) x2
Pt (0.5000, 0.1914, 0.7500) x2
Pt (0.5000, 0.2284, 0.2500) x2
Pt (0.5000, 0.2725, 0.7500) x2
Pt (0.5000, 0.3139, 0.2500) x2
Pt (0.5000, 0.3556, 0.7500) x2
Pt (0.5000, 0.3969, 0.2500) x2
Pt (0.5000, 0.4381, 0.7500) x2
Pt (0.5000, 0.4794, 0.2500) x2